The following is a computed powder diffractogram of MoW2Se2S4. It was derived from a cell relaxed with PBE, using Cu Kα, 1.54184 Å.
Peak positions follow from Bragg's law for the DFT cell and can differ from measured ones.

Structure:
```
MoW2Se2S4
1.0
3.2311 0.0000 0.0000
-1.6156 2.7982 0.0000
0.0000 0.0000 29.6721
Mo W Se S
1 2 2 4
Direct
0.0000 0.0000 0.0000 Mo
0.0000 0.0000 0.5373 W
0.3333 0.6667 0.7686 W
0.3333 0.6667 0.0575 Se
0.3333 0.6667 0.9425 Se
0.0000 0.0000 0.7162 S
0.0000 0.0000 0.8211 S
0.3333 0.6667 0.4848 S
0.3333 0.6667 0.5898 S
```

Peak list (12 most intense, 2θ from 10° to 90°, by intensity)
- 2θ = 11.93°, I = 100, (0 0 4)
- 2θ = 38.55°, I = 36, (1 0 7)
- 2θ = 36.91°, I = 33, (0 1 6)
- 2θ = 46.78°, I = 29, (1 0 11)
- 2θ = 14.93°, I = 26, (0 0 5)
- 2θ = 57.02°, I = 22, (1 1 0)
- 2θ = 31.98°, I = 18, (1 0 0)
- 2θ = 44.50°, I = 15, (0 1 10)
- 2θ = 32.13°, I = 13, (0 1 1)
- 2θ = 34.25°, I = 13, (1 0 4)
- 2θ = 32.56°, I = 12, (1 0 2)
- 2θ = 58.47°, I = 10, (1 1 4)

***

The following is a computed powder diffractogram of Hf8MgN8O4. It was derived from a cell relaxed with PBE, using Cu Kα, 1.54184 Å.
Peak positions follow from Bragg's law for the DFT cell and can differ from measured ones.

Structure:
```
Hf8MgN8O4
1.0
5.4163 0.0000 0.0000
-2.6430 4.7543 0.0000
-0.0103 -0.5969 10.4248
Hf Mg N O
8 1 8 4
Direct
0.0000 0.0000 0.0000 Hf
0.0011 0.9906 0.6988 Hf
0.3450 0.6705 0.7702 Hf
0.3561 0.6319 0.4668 Hf
0.3725 0.7027 0.1727 Hf
0.6310 0.2694 0.5228 Hf
0.6456 0.3264 0.9381 Hf
0.7121 0.3310 0.2276 Hf
0.0172 0.9983 0.3771 Mg
0.0038 0.2570 0.5601 N
0.2906 0.2844 0.8413 N
0.3008 0.8993 0.6135 N
0.3840 0.0466 0.0799 N
0.4629 0.9844 0.3501 N
0.6928 0.5834 0.3846 N
0.6982 0.6503 0.0975 N
0.7013 0.9911 0.8507 N
0.0022 0.3664 0.0691 O
0.1058 0.3815 0.3034 O
0.6091 0.6107 0.6331 O
0.9925 0.6791 0.8504 O
```

Peak list (12 most intense, 2θ from 10° to 90°, by intensity)
- 2θ = 33.08°, I = 100, (2 -1 0)
- 2θ = 32.58°, I = 95, (1 1 0)
- 2θ = 31.65°, I = 91, (1 -1 3)
- 2θ = 32.98°, I = 90, (1 -2 0)
- 2θ = 31.50°, I = 90, (1 0 -3)
- 2θ = 32.80°, I = 72, (0 1 3)
- 2θ = 45.01°, I = 44, (0 2 -3)
- 2θ = 47.10°, I = 40, (2 0 3)
- 2θ = 58.30°, I = 35, (0 3 0)
- 2θ = 48.48°, I = 30, (2 -1 4)
- 2θ = 21.03°, I = 29, (-1 1 1)
- 2θ = 34.41°, I = 28, (0 0 4)

***

The following is a computed powder diffractogram of GdB2HO5. It was derived from a cell relaxed with PBE, using Cu Kα, 1.54184 Å.
Peak positions follow from Bragg's law for the DFT cell and can differ from measured ones.

Structure:
```
GdB2HO5
1.0
5.9211 0.0000 0.0000
0.0000 6.5131 0.0000
-5.0651 0.0000 11.1785
Gd B H O
4 8 4 20
Direct
0.0000 0.0999 0.0000 Gd
0.0000 0.9001 0.5000 Gd
0.6208 0.3878 0.1570 Gd
0.6208 0.6122 0.6570 Gd
0.0579 0.4099 0.4694 B
0.0579 0.5901 0.9694 B
0.0773 0.1806 0.3090 B
0.0773 0.8194 0.8090 B
0.5279 0.3710 0.8647 B
0.5279 0.6290 0.3647 B
0.6468 0.1222 0.6948 B
0.6468 0.8778 0.1948 B
0.4253 0.0228 0.5260 H
0.4253 0.9772 0.0260 H
0.9116 0.2909 0.5910 H
0.9116 0.7091 0.0910 H
0.1858 0.4165 0.0158 O
0.1858 0.5835 0.5158 O
0.2181 0.0506 0.3954 O
0.2181 0.9494 0.8954 O
0.4211 0.4654 0.7669 O
0.4211 0.5346 0.2669 O
0.4770 0.0253 0.1124 O
0.4770 0.9747 0.6124 O
0.6451 0.3217 0.9753 O
0.6451 0.6783 0.4753 O
0.7106 0.2874 0.6439 O
0.7106 0.7126 0.1439 O
0.7151 0.0876 0.8122 O
0.7151 0.9124 0.3122 O
0.9809 0.3639 0.3465 O
0.9809 0.6361 0.8465 O
0.9837 0.1710 0.1869 O
0.9837 0.8290 0.6869 O
0.9902 0.2607 0.5325 O
0.9902 0.7393 0.0325 O
```

Peak list (12 most intense, 2θ from 10° to 90°, by intensity)
- 2θ = 15.75°, I = 100, (0 1 1)
- 2θ = 31.37°, I = 94, (1 2 -1)
- 2θ = 21.39°, I = 91, (1 1 0)
- 2θ = 17.52°, I = 70, (1 0 -2)
- 2θ = 27.31°, I = 68, (1 0 2)
- 2θ = 20.94°, I = 63, (0 1 2)
- 2θ = 15.86°, I = 54, (0 0 2)
- 2θ = 29.30°, I = 51, (1 0 -4)
- 2θ = 22.24°, I = 42, (1 1 -2)
- 2θ = 46.99°, I = 36, (2 2 1)
- 2θ = 26.58°, I = 36, (1 1 -3)
- 2θ = 36.65°, I = 33, (0 2 3)

***

The following is a computed powder diffractogram of CoSn. It was derived from a cell relaxed with PBE, using Cu Kα, 1.54184 Å.
Peak positions follow from Bragg's law for the DFT cell and can differ from measured ones.

Structure:
```
CoSn
1.0
5.3086 0.0000 0.0000
-2.6543 4.5974 0.0000
0.0000 0.0000 4.2374
Co Sn
3 3
Direct
0.0000 0.5000 0.0000 Co
0.5000 0.0000 0.0000 Co
0.5000 0.5000 0.0000 Co
0.0000 0.0000 0.0000 Sn
0.3333 0.6667 0.5000 Sn
0.6667 0.3333 0.5000 Sn
```

Peak list (12 most intense, 2θ from 10° to 90°, by intensity)
- 2θ = 44.86°, I = 100, (2 0 1)
- 2θ = 28.65°, I = 59, (1 0 1)
- 2θ = 33.77°, I = 55, (1 1 0)
- 2θ = 42.68°, I = 32, (0 0 2)
- 2θ = 55.49°, I = 28, (1 1 2)
- 2θ = 86.54°, I = 26, (2 2 2)
- 2θ = 40.09°, I = 25, (1 1 1)
- 2θ = 71.03°, I = 21, (2 2 0)
- 2θ = 57.31°, I = 19, (2 1 1)
- 2θ = 79.67°, I = 18, (2 0 3)
- 2θ = 88.05°, I = 15, (4 0 1)
- 2θ = 39.19°, I = 14, (2 0 0)

***

The following is a computed powder diffractogram of ZrCuSiAs. It was derived from a cell relaxed with PBE, using Cu Kα, 1.54184 Å.
Peak positions follow from Bragg's law for the DFT cell and can differ from measured ones.

Structure:
```
ZrCuSiAs
1.0
3.6796 0.0000 0.0000
0.0000 3.6796 0.0000
0.0000 0.0000 9.6702
Zr Cu Si As
2 2 2 2
Direct
0.2500 0.2500 0.2221 Zr
0.7500 0.7500 0.7779 Zr
0.2500 0.7500 0.5000 Cu
0.7500 0.2500 0.5000 Cu
0.2500 0.7500 0.0000 Si
0.7500 0.2500 0.0000 Si
0.2500 0.2500 0.6787 As
0.7500 0.7500 0.3213 As
```

Peak list (12 most intense, 2θ from 10° to 90°, by intensity)
- 2θ = 39.32°, I = 100, (1 1 2)
- 2θ = 49.55°, I = 33, (2 0 0)
- 2θ = 30.53°, I = 31, (1 0 2)
- 2θ = 44.84°, I = 29, (1 0 4)
- 2θ = 85.91°, I = 20, (3 1 2)
- 2θ = 63.53°, I = 13, (2 0 4)
- 2θ = 37.19°, I = 12, (0 0 4)
- 2θ = 69.04°, I = 12, (2 1 4)
- 2θ = 72.68°, I = 10, (2 2 0)
- 2θ = 59.32°, I = 9, (2 1 2)
- 2θ = 37.08°, I = 9, (1 0 3)
- 2θ = 53.53°, I = 9, (1 0 5)

***

The following is a computed powder diffractogram of CdCo2N2. It was derived from a cell relaxed with PBE, using Cu Kα, 1.54184 Å.
Peak positions follow from Bragg's law for the DFT cell and can differ from measured ones.

Structure:
```
CdCo2N2
1.0
5.3102 0.0000 0.0000
0.0000 3.0642 0.0000
-1.9131 0.0000 8.2997
Cd Co N
2 4 4
Direct
0.0000 0.0000 0.0000 Cd
0.5000 0.5000 0.0000 Cd
0.1292 0.0000 0.3968 Co
0.3708 0.5000 0.6032 Co
0.6292 0.5000 0.3968 Co
0.8708 0.0000 0.6032 Co
0.2218 0.0000 0.6524 N
0.2782 0.5000 0.3476 N
0.7218 0.5000 0.6524 N
0.7782 0.0000 0.3476 N
```

Peak list (12 most intense, 2θ from 10° to 90°, by intensity)
- 2θ = 34.00°, I = 100, (1 1 0)
- 2θ = 21.41°, I = 74, (0 0 2)
- 2θ = 44.68°, I = 56, (1 1 -3)
- 2θ = 42.68°, I = 49, (1 1 2)
- 2θ = 33.90°, I = 49, (2 0 -1)
- 2θ = 32.36°, I = 48, (0 0 3)
- 2θ = 60.41°, I = 42, (0 2 0)
- 2θ = 45.28°, I = 28, (2 0 2)
- 2θ = 42.12°, I = 26, (2 0 -3)
- 2θ = 62.63°, I = 16, (1 1 -5)
- 2θ = 55.35°, I = 15, (0 0 5)
- 2θ = 71.15°, I = 15, (4 0 -1)

***

The following is a computed powder diffractogram of AlV2Fe. It was derived from a cell relaxed with PBE, using Cu Kα, 1.54184 Å.
Peak positions follow from Bragg's law for the DFT cell and can differ from measured ones.

Structure:
```
AlV2Fe
1.0
3.1307 0.0000 0.0000
0.0000 4.1751 0.0000
0.0000 0.0000 8.0840
Al V Fe
2 4 2
Direct
0.0000 0.0000 0.0000 Al
0.5000 0.5000 0.0000 Al
0.0000 0.0000 0.5219 V
0.0000 0.5000 0.2712 V
0.5000 0.0000 0.2712 V
0.5000 0.5000 0.5219 V
0.0000 0.5000 0.7614 Fe
0.5000 0.0000 0.7614 Fe
```

Peak list (12 most intense, 2θ from 10° to 90°, by intensity)
- 2θ = 42.46°, I = 100, (1 1 2)
- 2θ = 43.34°, I = 24, (0 2 0)
- 2θ = 44.85°, I = 22, (0 0 4)
- 2θ = 10.94°, I = 19, (0 0 1)
- 2θ = 78.92°, I = 14, (1 3 2)
- 2θ = 64.14°, I = 13, (0 2 4)
- 2θ = 81.04°, I = 12, (1 1 6)
- 2θ = 59.01°, I = 9, (2 0 0)
- 2θ = 75.99°, I = 8, (2 2 0)
- 2θ = 77.06°, I = 8, (2 0 4)
- 2θ = 21.99°, I = 5, (0 0 2)
- 2θ = 49.70°, I = 3, (1 1 3)